# 1
Theoretical powder X-ray diffraction pattern of Pr8Ru2Rh for copper Kα, from a DFT-relaxed cell (GGA-PBE, Alexandria).
No peak broadening, texture or thermal motion is included.

Cell and atoms:
```
data_Pr8Ru2Rh
_space_group_name_H-M_alt 'C 1 m 1'
_space_group_IT_number 8
_cell_length_a 8.446
_cell_length_b 13.051
_cell_length_c 6.403
_cell_angle_alpha 90.00
_cell_angle_beta 110.77
_cell_angle_gamma 90.00
loop_
_space_group_symop_operation_xyz
'x,y,z'
'x,-y,z'
'x+1/2,y+1/2,z'
'x+1/2,-y+1/2,z'
loop_
_atom_site_label
_atom_site_type_symbol
_atom_site_fract_x
_atom_site_fract_y
_atom_site_fract_z
Pr1 Pr 0.000 0.000 0.000
Pr2 Pr 0.071 0.369 0.801
Pr3 Pr 0.143 0.132 0.593
Pr4 Pr 0.213 0.500 0.380
Pr5 Pr 0.361 0.208 0.190
Ru1 Ru 0.353 0.309 0.693
Rh1 Rh 0.354 0.000 0.029
```

The 10 most intense peaks (2θ from 10° to 90°), in order of rising 2θ:
h k l  2θ/deg  I (rel.)
1 1 -2  28.72  50
1 3 1  29.87  84
2 0 1  31.23  100
3 1 -1  32.67  58
0 2 2  32.92  41
2 2 -2  33.43  31
2 4 0  35.70  36
1 5 -1  37.71  53
3 3 0  40.03  21
3 3 -3  51.12  27

# 2
Theoretical powder X-ray diffraction pattern of Pu5Ga for copper Kα, from a DFT-relaxed cell (GGA-PBE, Alexandria).
No peak broadening, texture or thermal motion is included.

Cell and atoms:
```
data_Pu5Ga
_space_group_name_H-M_alt 'C m m m'
_space_group_IT_number 65
_space_group_name_Hall '-C 2 2'
_cell_length_a 3.904
_cell_length_b 12.048
_cell_length_c 4.953
_cell_angle_alpha 90.00
_cell_angle_beta 90.00
_cell_angle_gamma 90.00
loop_
_atom_site_label
_atom_site_type_symbol
_atom_site_fract_x
_atom_site_fract_y
_atom_site_fract_z
Pu1 Pu 0.000 0.000 0.000
Pu2 Pu 0.000 0.195 0.500
Pu3 Pu 0.000 0.360 0.000
Ga1 Ga 0.000 0.500 0.500
```

The 10 most intense peaks (2θ from 10° to 90°), in order of rising 2θ:
h k l  2θ/deg  I (rel.)
0 2 1  23.25  23
0 0 2  36.28  32
1 3 1  36.88  100
1 5 0  44.17  14
2 0 0  46.52  16
1 5 2  58.43  13
2 0 2  60.38  15
1 3 3  65.66  19
3 3 1  79.86  11
2 8 1  83.36  7

# 3
Theoretical powder X-ray diffraction pattern of Ba2Cd6Sn3 for copper Kα, from a DFT-relaxed cell (GGA-PBE, Alexandria).
No peak broadening, texture or thermal motion is included.

Cell and atoms:
```
data_Ba2Cd6Sn3
_space_group_name_H-M_alt 'P -6 2 m'
_space_group_IT_number 189
_space_group_name_Hall 'P -6 -2'
_cell_length_a 8.8045
_cell_length_b 8.8045
_cell_length_c 4.8360
_cell_angle_alpha 90.00
_cell_angle_beta 90.00
_cell_angle_gamma 120.00
loop_
_atom_site_label
_atom_site_type_symbol
_atom_site_fract_x
_atom_site_fract_y
_atom_site_fract_z
Ba1 Ba 0.3333 0.6667 0.0000
Cd1 Cd 0.0000 0.1891 0.0000
Cd2 Cd 0.0000 0.7098 0.5000
Sn1 Sn 0.0000 0.3725 0.5000
```

The 10 most intense peaks (2θ from 10° to 90°), in order of rising 2θ:
h k l  2θ/deg  I (rel.)
1 1 1  27.40  100
2 1 0  31.03  21
3 0 0  35.31  38
2 1 1  36.29  75
0 0 2  37.18  35
3 0 1  40.08  16
3 1 0  42.75  19
2 2 1  45.26  16
3 0 2  52.23  30
4 1 1  58.68  24

# 4
Theoretical powder X-ray diffraction pattern of Cd2ReF8 for copper Kα, from a DFT-relaxed cell (GGA-PBE, Alexandria).
No peak broadening, texture or thermal motion is included.

Cell and atoms:
```
data_Cd2ReF8
_space_group_name_H-M_alt 'P -3 m 1'
_space_group_IT_number 164
_space_group_name_Hall '-P 3 2"'
_cell_length_a 6.8162
_cell_length_b 6.8162
_cell_length_c 4.3568
_cell_angle_alpha 90.00
_cell_angle_beta 90.00
_cell_angle_gamma 120.00
loop_
_atom_site_label
_atom_site_type_symbol
_atom_site_fract_x
_atom_site_fract_y
_atom_site_fract_z
Cd1 Cd 0.3333 0.6667 0.2616
Re1 Re 0.0000 0.0000 0.5000
F1 F 0.1423 0.2845 0.2587
F2 F 0.3333 0.6667 0.7625
```

The 10 most intense peaks (2θ from 10° to 90°), in order of rising 2θ:
h k l  2θ/deg  I (rel.)
1 0 0  15.01  16
1 0 1  25.41  81
1 1 0  26.15  100
1 1 1  33.38  23
1 0 2  44.32  21
2 1 1  45.69  38
3 0 0  46.13  20
0 2 2  52.19  22
2 2 0  53.80  21
2 1 2  59.29  25

# 5
Theoretical powder X-ray diffraction pattern of Rb3Ga2Au3 for copper Kα, from a DFT-relaxed cell (GGA-PBE, Alexandria).
No peak broadening, texture or thermal motion is included.

Cell and atoms:
```
data_Rb3Ga2Au3
_space_group_name_H-M_alt 'P n m a'
_space_group_IT_number 62
_cell_length_a 8.914
_cell_length_b 15.847
_cell_length_c 6.961
_cell_angle_alpha 90.00
_cell_angle_beta 90.00
_cell_angle_gamma 90.00
loop_
_space_group_symop_operation_xyz
'x,y,z'
'-x,-y,-z'
'-x+1/2,-y,z+1/2'
'x+1/2,y,-z+1/2'
'x+1/2,-y+1/2,-z+1/2'
'-x+1/2,y+1/2,z+1/2'
'-x,y+1/2,-z'
'x,-y+1/2,z'
loop_
_atom_site_label
_atom_site_type_symbol
_atom_site_fract_x
_atom_site_fract_y
_atom_site_fract_z
Rb1 Rb 0.028 0.112 0.127
Rb2 Rb 0.200 0.250 0.569
Ga1 Ga 0.124 0.587 0.387
Au1 Au 0.164 0.750 0.518
Au2 Au 0.168 0.039 0.638
```

The 10 most intense peaks (2θ from 10° to 90°), in order of rising 2θ:
h k l  2θ/deg  I (rel.)
1 0 1  16.16  37
1 0 2  27.51  33
1 4 1  27.78  33
0 2 2  28.05  40
2 4 0  30.18  36
0 5 1  31.00  26
1 3 2  32.40  47
3 0 1  32.80  100
1 4 2  35.79  25
3 2 3  51.27  26

# 6
Theoretical powder X-ray diffraction pattern of Ho3Co2 for copper Kα, from a DFT-relaxed cell (GGA-PBE, Alexandria).
No peak broadening, texture or thermal motion is included.

Cell and atoms:
```
data_Ho3Co2
_space_group_name_H-M_alt 'C m m m'
_space_group_IT_number 65
_space_group_name_Hall '-C 2 2'
_cell_length_a 3.893
_cell_length_b 14.492
_cell_length_c 3.886
_cell_angle_alpha 90.00
_cell_angle_beta 90.00
_cell_angle_gamma 90.00
loop_
_atom_site_label
_atom_site_type_symbol
_atom_site_fract_x
_atom_site_fract_y
_atom_site_fract_z
Ho1 Ho 0.000 0.000 0.000
Ho2 Ho 0.000 0.349 0.500
Co1 Co 0.000 0.201 0.000
```

The 10 most intense peaks (2θ from 10° to 90°), in order of rising 2θ:
h k l  2θ/deg  I (rel.)
1 3 0  29.47  63
1 1 1  33.16  100
0 4 1  33.83  67
0 6 0  37.23  26
1 3 1  37.64  29
1 5 1  45.47  24
2 0 0  46.71  47
1 3 2  56.24  21
2 4 1  58.87  27
2 6 0  61.19  25

# 7
Theoretical powder X-ray diffraction pattern of Cs3K3Ag4 for copper Kα, from a DFT-relaxed cell (GGA-PBE, Alexandria).
No peak broadening, texture or thermal motion is included.

Cell and atoms:
```
data_Cs3K3Ag4
_space_group_name_H-M_alt 'A m m 2'
_space_group_IT_number 38
_cell_length_a 5.421
_cell_length_b 13.258
_cell_length_c 13.076
_cell_angle_alpha 90.00
_cell_angle_beta 90.00
_cell_angle_gamma 90.00
loop_
_space_group_symop_operation_xyz
'x,y,z'
'-x,-y,z'
'-x,y,z'
'x,-y,z'
'x,y+1/2,z+1/2'
'-x,-y+1/2,z+1/2'
'-x,y+1/2,z+1/2'
'x,-y+1/2,z+1/2'
loop_
_atom_site_label
_atom_site_type_symbol
_atom_site_fract_x
_atom_site_fract_y
_atom_site_fract_z
Cs1 Cs 0.000 0.000 0.000
Cs2 Cs 0.000 0.169 0.665
K1 K 0.000 0.000 0.333
K2 K 0.500 0.245 0.415
Ag1 Ag 0.500 0.000 0.547
Ag2 Ag 0.500 0.000 0.770
Ag3 Ag 0.500 0.108 0.176
```

The 10 most intense peaks (2θ from 10° to 90°), in order of rising 2θ:
h k l  2θ/deg  I (rel.)
0 2 0  13.36  16
0 0 2  13.54  39
1 2 2  25.22  47
1 3 1  26.91  100
1 1 3  27.10  85
0 4 2  30.23  20
0 2 4  30.49  22
2 0 0  33.05  34
1 1 5  38.83  17
1 6 4  52.82  21

# 8
Theoretical powder X-ray diffraction pattern of Nb6Rh3N2 for copper Kα, from a DFT-relaxed cell (GGA-PBE, Alexandria).
No peak broadening, texture or thermal motion is included.

Cell and atoms:
```
data_Nb6Rh3N2
_space_group_name_H-M_alt 'R -3 m'
_space_group_IT_number 166
_space_group_name_Hall '-R 3 2"'
_cell_length_a 3.0548
_cell_length_b 3.0548
_cell_length_c 61.4447
_cell_angle_alpha 90.00
_cell_angle_beta 90.00
_cell_angle_gamma 120.00
loop_
_atom_site_label
_atom_site_type_symbol
_atom_site_fract_x
_atom_site_fract_y
_atom_site_fract_z
Nb1 Nb 0.0000 0.0000 0.1056
Nb2 Nb 0.0000 0.0000 0.1868
Nb3 Nb 0.0000 0.0000 0.3682
Rh1 Rh 0.0000 0.0000 0.0000
Rh2 Rh 0.0000 0.0000 0.2642
N1 N 0.0000 0.0000 0.4594
```

The 10 most intense peaks (2θ from 10° to 90°), in order of rising 2θ:
h k l  2θ/deg  I (rel.)
0 1 8  35.90  23
0 1 11  37.62  100
1 0 13  39.02  16
0 0 27  39.60  24
1 0 16  41.45  19
1 0 19  44.23  34
1 0 22  47.33  16
1 1 0  60.63  34
0 1 38  67.94  20
1 1 27  74.87  21

# 9
Theoretical powder X-ray diffraction pattern of LaB6Ir5 for copper Kα, from a DFT-relaxed cell (GGA-PBE, Alexandria).
No peak broadening, texture or thermal motion is included.

Cell and atoms:
```
data_LaB6Ir5
_space_group_name_H-M_alt 'P -1'
_space_group_IT_number 2
_cell_length_a 5.564
_cell_length_b 5.759
_cell_length_c 5.972
_cell_angle_alpha 63.35
_cell_angle_beta 87.95
_cell_angle_gamma 63.16
loop_
_space_group_symop_operation_xyz
'x,y,z'
'-x,-y,-z'
loop_
_atom_site_label
_atom_site_type_symbol
_atom_site_fract_x
_atom_site_fract_y
_atom_site_fract_z
La1 La 0.000 0.000 0.000
B1 B 0.139 0.828 0.585
B2 B 0.467 0.074 0.819
B3 B 0.468 0.713 0.748
Ir1 Ir 0.226 0.204 0.475
Ir2 Ir 0.278 0.403 0.927
Ir3 Ir 0.500 0.500 0.500
```

The 10 most intense peaks (2θ from 10° to 90°), in order of rising 2θ:
h k l  2θ/deg  I (rel.)
1 2 1  31.19  100
1 -1 0  33.12  85
0 0 2  34.36  69
2 1 1  35.72  56
-1 1 2  36.82  78
2 1 -1  37.62  49
1 2 -1  45.73  22
1 2 3  48.42  39
0 3 1  54.97  19
0 3 3  58.69  24

# 10
Theoretical powder X-ray diffraction pattern of KO5 for copper Kα, from a DFT-relaxed cell (GGA-PBE, Alexandria).
No peak broadening, texture or thermal motion is included.

Cell and atoms:
```
data_KO5
_space_group_name_H-M_alt 'P 1'
_space_group_IT_number 1
_cell_length_a 3.927
_cell_length_b 3.931
_cell_length_c 8.505
_cell_angle_alpha 102.73
_cell_angle_beta 102.71
_cell_angle_gamma 90.44
loop_
_space_group_symop_operation_xyz
'x,y,z'
loop_
_atom_site_label
_atom_site_type_symbol
_atom_site_fract_x
_atom_site_fract_y
_atom_site_fract_z
K1 K 0.000 0.000 0.000
O1 O 0.204 0.198 0.683
O2 O 0.414 0.417 0.666
O3 O 0.499 0.499 0.998
O4 O 0.555 0.555 0.322
O5 O 0.779 0.775 0.316
```

The 10 most intense peaks (2θ from 10° to 90°), in order of rising 2θ:
h k l  2θ/deg  I (rel.)
0 0 1  10.95  60
1 0 1  27.98  100
1 0 -2  28.24  83
1 -1 0  32.09  87
1 1 -1  32.35  25
0 0 3  33.27  76
1 1 0  34.07  18
1 1 -2  34.40  14
2 0 -1  46.21  16
-1 1 3  46.90  47

# 11
Theoretical powder X-ray diffraction pattern of HfZn2WS for copper Kα, from a DFT-relaxed cell (GGA-PBE, Alexandria).
No peak broadening, texture or thermal motion is included.

Cell and atoms:
```
data_HfZn2WS
_space_group_name_H-M_alt 'P 4/m m m'
_space_group_IT_number 123
_space_group_name_Hall '-P 4 2'
_cell_length_a 5.238
_cell_length_b 5.238
_cell_length_c 4.701
_cell_angle_alpha 90.00
_cell_angle_beta 90.00
_cell_angle_gamma 90.00
loop_
_atom_site_label
_atom_site_type_symbol
_atom_site_fract_x
_atom_site_fract_y
_atom_site_fract_z
Hf1 Hf 0.000 0.000 0.000
Zn1 Zn 0.000 0.500 0.000
W1 W 0.500 0.500 0.500
S1 S 0.000 0.000 0.500
```

The 10 most intense peaks (2θ from 10° to 90°), in order of rising 2θ:
h k l  2θ/deg  I (rel.)
1 1 0  24.03  34
1 0 1  25.46  100
1 1 1  30.73  20
2 0 0  34.24  64
0 0 2  38.29  24
2 1 1  43.15  51
2 2 0  49.20  23
2 0 2  52.30  38
2 2 2  64.01  21
3 2 1  67.48  14

# 12
Theoretical powder X-ray diffraction pattern of Y2B4Os3 for copper Kα, from a DFT-relaxed cell (GGA-PBE, Alexandria).
No peak broadening, texture or thermal motion is included.

Cell and atoms:
```
data_Y2B4Os3
_space_group_name_H-M_alt 'F m m m'
_space_group_IT_number 69
_space_group_name_Hall '-F 2 2'
_cell_length_a 5.702
_cell_length_b 9.168
_cell_length_c 9.673
_cell_angle_alpha 90.00
_cell_angle_beta 90.00
_cell_angle_gamma 90.00
loop_
_atom_site_label
_atom_site_type_symbol
_atom_site_fract_x
_atom_site_fract_y
_atom_site_fract_z
Y1 Y 0.000 0.000 0.158
B1 B 0.000 0.217 0.335
Os1 Os 0.000 0.000 0.500
Os2 Os 0.250 0.250 0.000
```

The 10 most intense peaks (2θ from 10° to 90°), in order of rising 2θ:
h k l  2θ/deg  I (rel.)
0 0 2  18.34  100
0 2 2  26.80  23
1 1 3  33.39  56
2 2 0  37.14  96
0 4 0  39.31  40
2 2 2  41.72  59
0 4 2  43.75  53
2 2 4  53.56  24
0 0 6  57.14  25
2 2 6  70.13  26